# CaMn4O8
Computed XRD peak list, Cu Ka. Input: a crystal structure in Alexandria, relaxed with PBE+U.
Peak positions follow from Bragg's law for the DFT cell and can differ from measured ones.

Cell and atoms:
abc: 6.464 6.464 9.380
angles: 90.00 90.00 126.61
Positions (direct):
1 Ca 0.134 0.866 0.500
2 Ca 0.866 0.134 0.000
3 Mn 0.135 0.368 0.602
4 Mn 0.163 0.837 0.819
5 Mn 0.345 0.655 0.311
6 Mn 0.368 0.135 0.102
7 Mn 0.632 0.865 0.602
8 Mn 0.655 0.345 0.811
9 Mn 0.837 0.163 0.319
10 Mn 0.865 0.632 0.102
11 O 0.022 0.485 0.417
12 O 0.055 0.945 0.982
13 O 0.159 0.324 0.214
14 O 0.183 0.817 0.210
15 O 0.292 0.708 0.683
16 O 0.324 0.159 0.714
17 O 0.450 0.550 0.482
18 O 0.485 0.022 0.917
19 O 0.515 0.978 0.417
20 O 0.550 0.450 0.982
21 O 0.676 0.841 0.214
22 O 0.708 0.292 0.183
23 O 0.817 0.183 0.710
24 O 0.841 0.676 0.714
25 O 0.945 0.055 0.482
26 O 0.978 0.515 0.917

Principal peaks in the range 5 to 70 degrees two-theta, in order of rising 2θ:
4.918 Å, intensity 100
3.641 Å, intensity 17
2.887 Å, intensity 32
2.749 Å, intensity 60
2.500 Å, intensity 36
2.469 Å, intensity 30
2.270 Å, intensity 17
1.997 Å, intensity 27
1.876 Å, intensity 32
1.520 Å, intensity 24